Entry 1:
The following is a theoretical powder X-ray diffraction pattern of TlAg6Au6. It was derived from a GGA-PBE-relaxed structure, using CuKα.
Intensities are scaled so that the largest is 100.

```
data_TlAg6Au6
_symmetry_space_group_name_H-M 'I m m m'
_symmetry_Int_Tables_number 71
_symmetry_space_group_name_Hall '-I 2 2'
_cell_length_a 5.509
_cell_length_b 9.654
_cell_length_c 9.771
_cell_angle_alpha 90.00
_cell_angle_beta 90.00
_cell_angle_gamma 90.00
loop_
_atom_site_label
_atom_site_type_symbol
_atom_site_fract_x
_atom_site_fract_y
_atom_site_fract_z
Tl1 Tl 0.000 0.000 0.000
Ag1 Ag 0.000 0.000 0.356
Ag2 Ag 0.000 0.290 0.500
Ag3 Ag 0.000 0.352 0.000
Au1 Au 0.000 0.500 0.272
Au2 Au 0.250 0.250 0.250
```

Peak list (10 most intense, 2θ from 5° to 70°, by angle)
2θ 18.16, intensity 33, hkl 0 0 2
2θ 36.79, intensity 46, hkl 0 0 4
2θ 37.08, intensity 35, hkl 1 2 3
2θ 37.24, intensity 100, hkl 0 4 0
2θ 37.48, intensity 36, hkl 2 0 2
2θ 37.60, intensity 64, hkl 2 2 0
2θ 41.47, intensity 28, hkl 0 2 4
2θ 41.74, intensity 31, hkl 0 4 2
2θ 42.05, intensity 86, hkl 2 2 2
2θ 53.63, intensity 23, hkl 2 2 4

Entry 2:
The following is a theoretical powder X-ray diffraction pattern of Cs2SrGa2I6. It was derived from a GGA-PBE-relaxed structure, using CuKα.
Intensities are scaled so that the largest is 100.

```
data_Cs2SrGa2I6
_symmetry_space_group_name_H-M 'C 1 2/m 1'
_symmetry_Int_Tables_number 12
_symmetry_space_group_name_Hall '-C 2y'
_cell_length_a 13.722
_cell_length_b 8.864
_cell_length_c 9.754
_cell_angle_alpha 90.00
_cell_angle_beta 111.97
_cell_angle_gamma 90.00
loop_
_atom_site_label
_atom_site_type_symbol
_atom_site_fract_x
_atom_site_fract_y
_atom_site_fract_z
Cs1 Cs 0.200 0.000 0.149
Sr1 Sr 0.000 0.000 0.500
Ga1 Ga 0.077 0.500 0.153
I1 I 0.048 0.244 0.785
I2 I 0.248 0.000 0.556
```

Peak list (10 most intense, 2θ from 5° to 70°, by angle)
2θ 20.79, intensity 55, hkl 1 1 -2
2θ 21.96, intensity 39, hkl 3 1 -1
2θ 24.35, intensity 47, hkl 2 2 -1
2θ 24.48, intensity 100, hkl 2 2 0
2θ 25.98, intensity 57, hkl 4 0 -1
2θ 28.01, intensity 90, hkl 2 2 -2
2θ 28.18, intensity 76, hkl 0 2 2
2θ 29.62, intensity 57, hkl 0 0 3
2θ 35.50, intensity 46, hkl 3 1 2
2θ 40.72, intensity 40, hkl 0 4 0